Entry 1:
Diffraction record for CoCO3. The powder diffraction line list is computed, not measured: it uses a structure optimized by DFT (GGA+U) and Cu Kα, 1.54184 Å.
Peak positions follow from Bragg's law for the DFT cell and can differ from measured ones.

Main lines, low angle first (2θ from 15° to 90°):
| index | 2theta | intensity |
| --- | --- | --- |
| 1 1 -1 | 18.52 | 25.9 |
| 0 2 0 | 19.19 | 98.0 |
| 2 0 0 | 19.64 | 100.0 |
| 2 2 0 | 27.60 | 49.7 |
| 1 3 0 | 30.64 | 15.3 |
| 3 1 0 | 31.22 | 43.7 |
| 1 1 -2 | 32.94 | 21.4 |
| 1 3 -1 | 33.17 | 17.3 |
| 3 1 -2 | 36.80 | 31.8 |
| 0 2 2 | 39.37 | 14.1 |
| 1 3 -2 | 43.28 | 13.1 |
| 2 2 2 | 50.39 | 16.1 |

Atomic structure:
Unit cell a=9.8166 b=9.2487 c=5.7218 alpha=90.00 beta=112.97 gamma=90.00
Space group C2/c (No. 15)
One atom of each set of equivalent atoms:
1 Co 0.0000 0.0000 0.0000
2 C 0.0000 0.4236 0.2500
3 O 0.0000 0.1119 0.2500
4 O 0.1143 0.4260 0.4242

Entry 2:
Diffraction record for CoCO3. The powder diffraction line list is computed, not measured: it uses a structure optimized by DFT (GGA+U) and Cu Kα, 1.54184 Å.
Peak positions follow from Bragg's law for the DFT cell and can differ from measured ones.

Main lines, low angle first (2θ from 15° to 90°):
| index | 2theta | intensity |
| --- | --- | --- |
| 0 1 2 | 24.81 | 40.7 |
| 1 0 4 | 32.31 | 100.0 |
| 1 1 0 | 38.22 | 23.2 |
| 1 1 3 | 42.38 | 16.8 |
| 2 0 2 | 46.11 | 21.8 |
| 0 2 4 | 50.89 | 12.1 |
| 1 1 6 | 53.28 | 32.0 |
| 0 1 8 | 53.49 | 20.1 |
| 1 2 2 | 61.38 | 15.3 |
| 2 1 4 | 65.39 | 12.1 |
| 3 0 0 | 69.09 | 12.1 |
| 1 2 8 | 80.43 | 6.5 |

Atomic structure:
Unit cell a=4.7095 b=4.7095 c=15.1001 alpha=90.00 beta=90.00 gamma=120.00
Space group R-3c (No. 167, hexagonal axes)
One atom of each set of equivalent atoms:
1 Co 0.0000 0.0000 0.0000
2 C 0.0000 0.0000 0.2500
3 O 0.0000 0.2756 0.2500